Theoretical X-ray powder pattern
Compound: Li9Mn2Co5O16
Radiation: Cu Kα X-rays
Structure: a PBE+U-relaxed structure
No peak broadening, texture or thermal motion is included.

```
data_Li9Mn2Co5O16
_space_group_name_H-M_alt 'P 1'
_space_group_IT_number 1
_cell_length_a 5.906
_cell_length_b 6.534
_cell_length_c 7.772
_cell_angle_alpha 86.53
_cell_angle_beta 80.75
_cell_angle_gamma 76.88
loop_
_space_group_symop_operation_xyz
'x,y,z'
loop_
_atom_site_label
_atom_site_type_symbol
_atom_site_fract_x
_atom_site_fract_y
_atom_site_fract_z
Li1 Li 0.000 0.000 0.000
Li2 Li 0.053 0.125 0.637
Li3 Li 0.113 0.246 0.272
Li4 Li 0.232 0.496 0.515
Li5 Li 0.356 0.759 0.762
Li6 Li 0.488 0.004 0.012
Li7 Li 0.607 0.245 0.270
Li8 Li 0.755 0.487 0.515
Li9 Li 0.867 0.751 0.762
Mn1 Mn 0.175 0.374 0.884
Mn2 Mn 0.426 0.871 0.393
Co1 Co 0.304 0.619 0.138
Co2 Co 0.547 0.121 0.644
Co3 Co 0.685 0.372 0.882
Co4 Co 0.804 0.625 0.141
Co5 Co 0.925 0.887 0.396
O1 O 0.011 0.575 0.316
O2 O 0.087 0.673 0.954
O3 O 0.168 0.813 0.555
O4 O 0.223 0.918 0.211
O5 O 0.271 0.084 0.827
O6 O 0.353 0.162 0.455
O7 O 0.377 0.331 0.071
O8 O 0.448 0.426 0.724
O9 O 0.521 0.576 0.323
O10 O 0.598 0.660 0.959
O11 O 0.637 0.815 0.567
O12 O 0.687 0.923 0.216
O13 O 0.752 0.084 0.822
O14 O 0.833 0.170 0.448
O15 O 0.911 0.320 0.049
O16 O 0.974 0.436 0.712
```

Main lines, in order of rising 2θ (2θ = 10–80°):
| d/Å | I/Imax | index |
| --- | --- | --- |
| 4.837 | 100.0 | 0 1 -1 |
| 2.543 | 15.2 | 2 0 -1 |
| 2.481 | 25.6 | 2 1 2 |
| 2.123 | 29.7 | 2 1 -2 |
| 2.062 | 26.8 | 2 0 3 |
| 2.057 | 26.4 | 0 3 1 |
| 1.634 | 5.1 | 2 2 -3 |
| 1.483 | 7.6 | 0 1 -5 |
| 1.480 | 7.4 | 2 4 -1 |
| 1.475 | 15.0 | 4 1 1 |
| 1.465 | 7.1 | 2 -3 2 |
| 1.448 | 7.1 | 2 3 4 |